# 1
Ce3Nd2O9: calculated X-ray powder pattern (Cu Kα (λ = 1.5418 Å)), based on a cell relaxed with PBE.
No peak broadening, texture or thermal motion is included.

Cell and atoms:
Unit cell a=14.2163 b=14.2163 c=14.2163 alpha=164.23 beta=164.23 gamma=22.37
Fractional coordinates of all 14 atoms:
Ce: 0.0000 0.0000 0.0000
Ce: 0.4023 0.4023 0.0000
Ce: 0.5977 0.5977 0.0000
Nd: 0.1927 0.1927 0.0000
Nd: 0.8073 0.8073 0.0000
O: 0.0518 0.5518 0.5000
O: 0.1523 0.6523 0.5000
O: 0.3477 0.8477 0.5000
O: 0.4482 0.9482 0.5000
O: 0.5459 0.0459 0.5000
O: 0.6418 0.1418 0.5000
O: 0.7500 0.2500 0.5000
O: 0.8582 0.3582 0.5000
O: 0.9541 0.4541 0.5000

Top 10 peaks for 2θ = 5–70°, in order of rising 2θ:
2θ/deg, I_rel
27.9, 100
32.1, 11
32.5, 21
46.3, 33
46.6, 18
54.7, 13
55.2, 30
57.7, 9
67.1, 2
68.0, 5

# 2
SrCuAs2O7: calculated X-ray powder pattern (Cu Kα (λ = 1.5418 Å)), based on a cell relaxed with PBE.
No peak broadening, texture or thermal motion is included.

Cell and atoms:
Unit cell a=5.7159 b=8.3807 c=14.0458 alpha=90.00 beta=111.76 gamma=90.00
Fractional coordinates of all 44 atoms:
Sr: 0.0087 0.1587 0.2173
Sr: 0.0087 0.3413 0.7173
Sr: 0.9913 0.6587 0.2827
Sr: 0.9913 0.8413 0.7827
Cu: 0.3250 0.6420 0.6192
Cu: 0.3250 0.8580 0.1192
Cu: 0.6750 0.1420 0.8808
Cu: 0.6750 0.3580 0.3808
As: 0.3308 0.1814 0.0053
As: 0.3308 0.3186 0.5053
As: 0.4040 0.0332 0.6571
As: 0.4040 0.4668 0.1571
As: 0.5960 0.5332 0.8429
As: 0.5960 0.9668 0.3429
As: 0.6692 0.6814 0.4947
As: 0.6692 0.8186 0.9947
O: 0.0987 0.1593 0.8895
O: 0.0987 0.3407 0.3895
O: 0.1582 0.0537 0.6953
O: 0.1582 0.4463 0.1953
O: 0.2783 0.0920 0.1066
O: 0.2783 0.4080 0.6066
O: 0.3131 0.1088 0.5302
O: 0.3131 0.3912 0.0302
O: 0.3268 0.6308 0.7654
O: 0.3268 0.8692 0.2654
O: 0.3592 0.6481 0.4820
O: 0.3592 0.8519 0.9820
O: 0.4940 0.1574 0.3473
O: 0.4940 0.3426 0.8473
O: 0.5060 0.6574 0.1527
O: 0.5060 0.8426 0.6527
O: 0.6408 0.1481 0.0180
O: 0.6408 0.3519 0.5180
O: 0.6732 0.1308 0.7346
O: 0.6732 0.3692 0.2346
O: 0.6869 0.6088 0.9698
O: 0.6869 0.8912 0.4698
O: 0.7217 0.5920 0.3934
O: 0.7217 0.9080 0.8934
O: 0.8418 0.5537 0.8047
O: 0.8418 0.9463 0.3047
O: 0.9013 0.6593 0.6105
O: 0.9013 0.8407 0.1105

Top 10 peaks for 2θ = 5–70°, in order of rising 2θ:
2θ/deg, I_rel
23.6, 27
25.3, 100
26.4, 39
27.4, 63
28.4, 53
30.1, 39
31.3, 74
32.8, 86
38.5, 30
43.0, 27

# 3
Ce2CdS4: calculated X-ray powder pattern (Cu Kα (λ = 1.5418 Å)), based on a cell relaxed with PBE.
No peak broadening, texture or thermal motion is included.

Cell and atoms:
Unit cell a=7.4282 b=7.4282 c=7.4282 alpha=110.81 beta=110.81 gamma=106.84
Fractional coordinates of all 14 atoms:
Ce: 0.0140 0.1250 0.3890
Ce: 0.3750 0.9860 0.1110
Ce: 0.7360 0.6250 0.6110
Ce: 0.8750 0.2640 0.8890
Cd: 0.2500 0.7500 0.5000
Cd: 0.5000 0.5000 0.0000
S: 0.0040 0.7411 0.1215
S: 0.1175 0.9960 0.7371
S: 0.1304 0.5089 0.7629
S: 0.2589 0.3804 0.2629
S: 0.4911 0.2540 0.6215
S: 0.6196 0.8825 0.8785
S: 0.6325 0.8696 0.3785
S: 0.7460 0.3675 0.2371

Top 10 peaks for 2θ = 5–70°, in order of rising 2θ:
2θ/deg, I_rel
25.0, 68
25.7, 100
32.1, 54
33.4, 60
33.6, 53
38.7, 37
39.4, 29
39.9, 30
46.3, 27
49.7, 35

What is the formula in the second record? SrCuAs2O7

Repeat the second record exactly.
SrCuAs2O7: calculated X-ray powder pattern (Cu Kα (λ = 1.5418 Å)), based on a cell relaxed with PBE.
No peak broadening, texture or thermal motion is included.

Cell and atoms:
Unit cell a=5.7159 b=8.3807 c=14.0458 alpha=90.00 beta=111.76 gamma=90.00
Fractional coordinates of all 44 atoms:
Sr: 0.0087 0.1587 0.2173
Sr: 0.0087 0.3413 0.7173
Sr: 0.9913 0.6587 0.2827
Sr: 0.9913 0.8413 0.7827
Cu: 0.3250 0.6420 0.6192
Cu: 0.3250 0.8580 0.1192
Cu: 0.6750 0.1420 0.8808
Cu: 0.6750 0.3580 0.3808
As: 0.3308 0.1814 0.0053
As: 0.3308 0.3186 0.5053
As: 0.4040 0.0332 0.6571
As: 0.4040 0.4668 0.1571
As: 0.5960 0.5332 0.8429
As: 0.5960 0.9668 0.3429
As: 0.6692 0.6814 0.4947
As: 0.6692 0.8186 0.9947
O: 0.0987 0.1593 0.8895
O: 0.0987 0.3407 0.3895
O: 0.1582 0.0537 0.6953
O: 0.1582 0.4463 0.1953
O: 0.2783 0.0920 0.1066
O: 0.2783 0.4080 0.6066
O: 0.3131 0.1088 0.5302
O: 0.3131 0.3912 0.0302
O: 0.3268 0.6308 0.7654
O: 0.3268 0.8692 0.2654
O: 0.3592 0.6481 0.4820
O: 0.3592 0.8519 0.9820
O: 0.4940 0.1574 0.3473
O: 0.4940 0.3426 0.8473
O: 0.5060 0.6574 0.1527
O: 0.5060 0.8426 0.6527
O: 0.6408 0.1481 0.0180
O: 0.6408 0.3519 0.5180
O: 0.6732 0.1308 0.7346
O: 0.6732 0.3692 0.2346
O: 0.6869 0.6088 0.9698
O: 0.6869 0.8912 0.4698
O: 0.7217 0.5920 0.3934
O: 0.7217 0.9080 0.8934
O: 0.8418 0.5537 0.8047
O: 0.8418 0.9463 0.3047
O: 0.9013 0.6593 0.6105
O: 0.9013 0.8407 0.1105

Top 10 peaks for 2θ = 5–70°, in order of rising 2θ:
2θ/deg, I_rel
23.6, 27
25.3, 100
26.4, 39
27.4, 63
28.4, 53
30.1, 39
31.3, 74
32.8, 86
38.5, 30
43.0, 27